1.
NaBeTcSn2: theoretical PXRD pattern (Cu Kα X-rays), based on DFT lattice parameters and positions (GGA-PBE).
Neutral-atom scattering factors, no anomalous dispersion.

Structural model:
Lattice parameters (Å, degrees): 5.1200 5.1200 5.5326 90.00 90.00 90.00
Space group P4/mmm (No. 123)
Inequivalent atoms, fractional coordinates:
Na: 0.0000 0.0000 0.0000
Be: 0.5000 0.5000 0.0000
Tc: 0.0000 0.0000 0.5000
Sn: 0.0000 0.5000 0.5000

Top 10 peaks for 2θ = 5–70°, sorted by position:
(hkl)	2θ/deg	I_rel
0 0 1	16.0	1000
1 0 0	17.3	251
1 1 1	29.5	286
0 0 2	32.4	265
2 0 0	35.1	428
2 0 1	38.8	457
2 0 2	48.4	344
2 2 0	50.4	153
2 2 1	53.2	186
2 2 2	61.2	172

2.
KDyP4O12: theoretical PXRD pattern (Cu Kα X-rays), based on DFT lattice parameters and positions (GGA-PBE).
Neutral-atom scattering factors, no anomalous dispersion.

Structural model:
Lattice parameters (Å, degrees): 7.9799 12.6416 10.5738 90.00 111.22 90.00
Space group C2/c (No. 15)
Inequivalent atoms, fractional coordinates:
K: 0.0000 0.1896 0.2500
Dy: 0.0000 0.1205 0.7500
P: 0.0462 0.3320 0.9936
P: 0.2236 0.4730 0.4495
O: 0.0486 0.2483 0.6078
O: 0.0758 0.4324 0.9111
O: 0.0992 0.3707 0.4409
O: 0.1497 0.0131 0.4062
O: 0.2069 0.0374 0.6628
O: 0.2112 0.3042 0.1132

Top 10 peaks for 2θ = 5–70°, sorted by position:
(hkl)	2θ/deg	I_rel
1 1 -1	13.9	571
0 2 1	16.7	1000
1 1 -2	19.0	587
2 0 0	23.9	280
2 0 -2	24.2	390
1 1 2	26.0	830
1 3 1	27.4	398
1 3 -2	27.6	806
2 4 0	37.3	317
2 6 -1	48.9	375

3.
Pr8ErSc2: theoretical PXRD pattern (Cu Kα X-rays), based on DFT lattice parameters and positions (GGA-PBE).
Neutral-atom scattering factors, no anomalous dispersion.

Structural model:
Lattice parameters (Å, degrees): 9.0949 16.2646 5.9321 90.00 121.45 90.00
Space group C2/m (No. 12)
Inequivalent atoms, fractional coordinates:
Pr: 0.0000 0.2086 0.0000
Pr: 0.0824 0.5000 0.7951
Pr: 0.2151 0.1193 0.6697
Er: 0.0000 0.0000 0.0000
Sc: 0.0000 0.3098 0.5000

Top 10 peaks for 2θ = 5–70°, sorted by position:
(hkl)	2θ/deg	I_rel
1 3 0	20.0	138
1 1 1	26.1	137
0 4 1	28.2	335
3 1 -1	30.0	611
2 0 -2	30.5	408
1 5 -1	31.4	1000
2 4 0	31.9	533
2 0 1	35.8	250
4 4 -2	47.2	139
3 9 -1	59.6	238